# 1
For Ac4NdPt5, a GGA-PBE-relaxed structure gives the computed powder X-ray diffraction pattern in this record (Cu Kα X-rays).
Peak positions follow from Bragg's law for the DFT cell and can differ from measured ones.

Largest 7 diffraction maxima, low angle first, 2θ from 10° to 90°:
Position (°2θ)	I (rel.)	index
29.00	100	1 1 0
37.40	1	1 1 8
41.48	77	2 0 0
51.40	28	2 0 10
60.10	13	2 2 0
68.09	36	3 1 0
75.66	27	3 1 10

Structural model:
Lattice parameters (Å, degrees): 4.353 4.353 30.809 90.00 90.00 90.00
Space group I4/mmm (No. 139)
Inequivalent atoms, fractional coordinates:
Ac 0.000 0.000 0.098 (multiplicity 4)
Ac 0.000 0.000 0.301 (multiplicity 4)
Nd 0.000 0.000 0.500 (multiplicity 2)
Pt 0.000 0.000 0.000 (multiplicity 2)
Pt 0.000 0.000 0.200 (multiplicity 4)
Pt 0.000 0.000 0.402 (multiplicity 4)

---

# 2
For Ba8Pd2Au, a GGA-PBE-relaxed structure gives the computed powder X-ray diffraction pattern in this record (Cu Kα X-rays).
Peak positions follow from Bragg's law for the DFT cell and can differ from measured ones.

Largest 12 diffraction maxima, low angle first, 2θ from 10° to 90°:
Position (°2θ)	I (rel.)	index
24.46	39	3 1 1
25.93	25	2 0 2
26.88	83	5 1 -1
27.66	48	1 1 -2
29.03	33	1 1 2
29.43	31	6 0 1
32.15	100	0 2 0
33.27	44	7 1 0
37.37	17	2 0 3
39.40	18	1 1 3
44.16	24	6 2 1
49.35	20	11 1 0

Structural model:
Lattice parameters (Å, degrees): 21.976 5.565 7.916 90.00 101.51 90.00
Space group C2/m (No. 12)
Inequivalent atoms, fractional coordinates:
Ba 0.047 0.000 0.306 (multiplicity 4)
Ba 0.087 0.500 0.916 (multiplicity 4)
Ba 0.172 0.500 0.465 (multiplicity 4)
Ba 0.213 0.000 0.843 (multiplicity 4)
Pd 0.199 0.000 0.241 (multiplicity 4)
Au 0.000 0.500 0.500 (multiplicity 2)

---

# 3
For Tb3Pm7Er, a GGA-PBE-relaxed structure gives the computed powder X-ray diffraction pattern in this record (Cu Kα X-rays).
Peak positions follow from Bragg's law for the DFT cell and can differ from measured ones.

Largest 12 diffraction maxima, low angle first, 2θ from 10° to 90°:
Position (°2θ)	I (rel.)	index
24.66	13	0 1 2
31.28	100	2 1 0
31.37	56	2 1 -2
31.61	18	2 0 1
31.72	71	0 2 0
32.68	56	0 1 3
45.38	14	2 2 1
45.48	13	2 2 -3
51.72	16	4 0 -2
56.24	30	2 3 -2
57.13	15	0 3 3
61.95	19	4 2 -2

Structural model:
Lattice parameters (Å, degrees): 7.070 5.643 10.032 90.00 110.40 90.00
Space group P2/m (No. 10)
Inequivalent atoms, fractional coordinates:
Tb 0.000 0.000 0.000 (multiplicity 1)
Tb 0.280 0.500 0.500 (multiplicity 2)
Pm 0.000 0.000 0.500 (multiplicity 1)
Pm 0.145 0.500 0.792 (multiplicity 2)
Pm 0.322 0.500 0.139 (multiplicity 2)
Pm 0.415 0.000 0.329 (multiplicity 2)
Er 0.500 0.000 0.000 (multiplicity 1)

---

# 4
For In2SiAu8, a GGA-PBE-relaxed structure gives the computed powder X-ray diffraction pattern in this record (Cu Kα X-rays).
Peak positions follow from Bragg's law for the DFT cell and can differ from measured ones.

Largest 12 diffraction maxima, low angle first, 2θ from 10° to 90°:
Position (°2θ)	I (rel.)	index
24.97	29	1 3 -1
29.19	21	0 4 1
32.58	68	1 1 1
33.34	100	1 5 -1
38.16	39	2 0 -2
38.39	92	0 6 1
39.78	33	2 2 -2
40.65	28	0 2 2
42.29	59	2 4 0
45.14	17	0 4 2
46.02	19	2 6 -1
48.45	21	3 1 -1

Structural model:
Lattice parameters (Å, degrees): 5.729 16.349 5.270 90.00 118.94 90.00
Space group Cm (No. 8)
Inequivalent atoms, fractional coordinates:
In 0.000 0.172 0.000 (multiplicity 4)
Si 0.009 0.500 0.898 (multiplicity 2)
Au 0.088 0.360 0.147 (multiplicity 4)
Au 0.145 0.099 0.568 (multiplicity 4)
Au 0.379 0.000 0.303 (multiplicity 2)
Au 0.380 0.500 0.800 (multiplicity 2)
Au 0.461 0.232 0.536 (multiplicity 4)

---

> Number 3 is which compound?

Tb3Pm7Er